The following is a computed powder X-ray diffraction pattern of RbAc2C2N6. It was derived from a structure optimized by DFT (GGA-PBE), using Cu Kα (λ = 1.5418 Å).

Main lines, in order of rising 2θ (2θ from 10° to 90°):
- 18.6°, I 100
- 23.6°, I 98
- 26.4°, I 59
- 30.0°, I 68
- 30.4°, I 44
- 30.5°, I 43

Structure:
Cell: 6.2269 6.2578 6.6432 Å, 71.99 72.17 65.60°
Fractional coordinates of all 11 atoms:
1 Rb 0.0000 0.0000 0.0000
2 Ac 0.3297 0.3301 0.2965
3 Ac 0.6703 0.6699 0.7035
4 C 0.3292 0.3261 0.7580
5 C 0.6708 0.6739 0.2420
6 N 0.1157 0.4455 0.6970
7 N 0.4156 0.4119 0.8659
8 N 0.4495 0.1145 0.6960
9 N 0.5505 0.8855 0.3040
10 N 0.5844 0.5881 0.1341
11 N 0.8843 0.5545 0.3030

***

The following is a computed powder X-ray diffraction pattern of Ta5Ga2. It was derived from a structure optimized by DFT (GGA-PBE), using Cu Kα (λ = 1.5418 Å).

Main lines, in order of rising 2θ (2θ from 10° to 90°):
- 30.2°, I 22
- 35.1°, I 29
- 36.7°, I 33
- 39.0°, I 100
- 39.7°, I 45
- 41.6°, I 65

Structure:
Cell: 7.1640 7.1640 7.1786 Å, 95.65 95.65 42.63°
Fractional coordinates of all 14 atoms:
1 Ta 0.1013 0.3342 0.3145
2 Ta 0.1928 0.8072 0.7500
3 Ta 0.2315 0.5437 0.0506
4 Ta 0.3342 0.1013 0.8145
5 Ta 0.4563 0.7685 0.4494
6 Ta 0.5437 0.2315 0.5506
7 Ta 0.6658 0.8987 0.1855
8 Ta 0.7685 0.4563 0.9494
9 Ta 0.8072 0.1928 0.2500
10 Ta 0.8987 0.6658 0.6855
11 Ga 0.0876 0.7241 0.4111
12 Ga 0.2759 0.9124 0.0889
13 Ga 0.7241 0.0876 0.9111
14 Ga 0.9124 0.2759 0.5889

***

The following is a computed powder X-ray diffraction pattern of CaTmMg2Au4. It was derived from a structure optimized by DFT (GGA-PBE), using Cu Kα (λ = 1.5418 Å).

Main lines, in order of rising 2θ (2θ from 10° to 90°):
- 25.7°, I 31
- 36.7°, I 100
- 52.8°, I 17
- 59.6°, I 12
- 66.0°, I 35
- 89.3°, I 16

Structure:
Cell: 8.4978 8.4978 8.4978 Å, 33.53 33.53 33.53°
Fractional coordinates of all 8 atoms:
1 Ca 0.0000 0.0000 0.0000
2 Tm 0.5000 0.5000 0.5000
3 Mg 0.2506 0.2506 0.2506
4 Mg 0.7494 0.7494 0.7494
5 Au 0.1285 0.1285 0.1285
6 Au 0.3784 0.3784 0.3784
7 Au 0.6216 0.6216 0.6216
8 Au 0.8715 0.8715 0.8715

***

The following is a computed powder X-ray diffraction pattern of TbNdY2Mg. It was derived from a structure optimized by DFT (GGA-PBE), using Cu Kα (λ = 1.5418 Å).

Main lines, in order of rising 2θ (2θ from 10° to 90°):
- 21.9°, I 15
- 28.8°, I 24
- 31.8°, I 25
- 33.0°, I 100
- 43.4°, I 16
- 61.3°, I 14

Structure:
Cell: 6.2062 5.6353 9.4537 Å, 90.00 109.06 90.00°
Fractional coordinates of all 10 atoms:
1 Tb 0.1620 0.2500 0.0046
2 Tb 0.8380 0.7500 0.9954
3 Nd 0.3532 0.2500 0.3902
4 Nd 0.6468 0.7500 0.6098
5 Y 0.0196 0.7500 0.3930
6 Y 0.2515 0.7500 0.8017
7 Y 0.7485 0.2500 0.1983
8 Y 0.9804 0.2500 0.6070
9 Mg 0.4267 0.7500 0.1934
10 Mg 0.5733 0.2500 0.8066

***

The following is a computed powder X-ray diffraction pattern of Nd5Y5Tm2. It was derived from a structure optimized by DFT (GGA-PBE), using Cu Kα (λ = 1.5418 Å).

Main lines, in order of rising 2θ (2θ from 10° to 90°):
- 30.4°, I 100
- 35.2°, I 50
- 50.7°, I 36
- 60.2°, I 42
- 82.5°, I 17
- 85.2°, I 15

Structure:
Cell: 8.0531 8.0531 11.3972 Å, 115.13 115.13 36.90°
Fractional coordinates of all 12 atoms:
1 Nd 0.0000 0.0000 0.0000
2 Nd 0.0824 0.0824 0.7499
3 Nd 0.1665 0.1665 0.4997
4 Nd 0.8335 0.8335 0.5003
5 Nd 0.9176 0.9176 0.2501
6 Y 0.2482 0.2482 0.2480
7 Y 0.3334 0.3334 0.9991
8 Y 0.5000 0.5000 0.5000
9 Y 0.6666 0.6666 0.0009
10 Y 0.7518 0.7518 0.7520
11 Tm 0.4165 0.4165 0.7502
12 Tm 0.5835 0.5835 0.2498

***

The following is a computed powder X-ray diffraction pattern of Sm3Zn9Ni2. It was derived from a structure optimized by DFT (GGA-PBE), using Cu Kα (λ = 1.5418 Å).

Main lines, in order of rising 2θ (2θ from 10° to 90°):
- 29.5°, I 35
- 34.3°, I 23
- 35.6°, I 100
- 36.4°, I 99
- 42.1°, I 47
- 69.5°, I 24

Structure:
Cell: 8.1363 8.1363 8.1363 Å, 149.38 112.19 76.22°
Fractional coordinates of all 14 atoms:
1 Sm 0.0000 0.0000 0.0000
2 Sm 0.3084 0.3084 0.0000
3 Sm 0.6916 0.6916 0.0000
4 Zn 0.0196 0.6633 0.3563
5 Zn 0.1596 0.8768 0.2829
6 Zn 0.3070 0.6633 0.6437
7 Zn 0.4061 0.1232 0.2829
8 Zn 0.5000 0.0000 0.5000
9 Zn 0.5939 0.8768 0.7171
10 Zn 0.6930 0.3367 0.3563
11 Zn 0.8404 0.1232 0.7171
12 Zn 0.9804 0.3367 0.6437
13 Ni 0.3017 0.5000 0.8017
14 Ni 0.6983 0.5000 0.1983

***

The following is a computed powder X-ray diffraction pattern of Ba3PaZn2O8. It was derived from a structure optimized by DFT (GGA-PBE), using Cu Kα (λ = 1.5418 Å).

Main lines, in order of rising 2θ (2θ from 10° to 90°):
- 11.4°, I 26
- 28.6°, I 92
- 29.5°, I 100
- 41.6°, I 46
- 51.8°, I 37
- 52.3°, I 20

Structure:
Cell: 6.0580 6.0580 7.7572 Å, 90.00 90.00 120.00°
Fractional coordinates of all 14 atoms:
1 Ba 0.0000 0.0000 0.0000
2 Ba 0.3333 0.6667 0.6536
3 Ba 0.6667 0.3333 0.3464
4 Pa 0.0000 0.0000 0.5000
5 Zn 0.3333 0.6667 0.2108
6 Zn 0.6667 0.3333 0.7892
7 O 0.1649 0.3299 0.3319
8 O 0.1649 0.8351 0.3319
9 O 0.3299 0.1649 0.6681
10 O 0.3333 0.6667 0.9714
11 O 0.6667 0.3333 0.0286
12 O 0.6701 0.8351 0.3319
13 O 0.8351 0.1649 0.6681
14 O 0.8351 0.6701 0.6681

***

The following is a computed powder X-ray diffraction pattern of Sm4Re3N10. It was derived from a structure optimized by DFT (GGA-PBE), using Cu Kα (λ = 1.5418 Å).

Main lines, in order of rising 2θ (2θ from 10° to 90°):
- 31.9°, I 100
- 32.2°, I 56
- 46.2°, I 26
- 56.7°, I 17
- 57.2°, I 40
- 66.7°, I 13

Structure:
Cell: 14.2653 14.2653 14.2653 Å, 164.16 164.16 22.48°
Fractional coordinates of all 17 atoms:
1 Sm 0.0676 0.0676 0.0000
2 Sm 0.2030 0.2030 0.0000
3 Sm 0.7970 0.7970 0.0000
4 Sm 0.9324 0.9324 0.0000
5 Re 0.3591 0.3591 0.0000
6 Re 0.5000 0.5000 0.0000
7 Re 0.6409 0.6409 0.0000
8 N 0.0000 0.5000 0.5000
9 N 0.1411 0.6411 0.5000
10 N 0.2862 0.2862 0.0000
11 N 0.3589 0.8589 0.5000
12 N 0.4293 0.4293 0.0000
13 N 0.5000 0.0000 0.5000
14 N 0.5707 0.5707 0.0000
15 N 0.6411 0.1411 0.5000
16 N 0.7138 0.7138 0.0000
17 N 0.8589 0.3589 0.5000

***

The following is a computed powder X-ray diffraction pattern of PmMgB14. It was derived from a structure optimized by DFT (GGA-PBE), using Cu Kα (λ = 1.5418 Å).

Main lines, in order of rising 2θ (2θ from 10° to 90°):
- 13.4°, I 93
- 16.5°, I 76
- 24.8°, I 79
- 27.4°, I 100
- 33.1°, I 60
- 36.4°, I 70

Structure:
Cell: 7.4179 7.4179 7.4179 Å, 132.83 87.16 111.69°
Fractional coordinates of all 32 atoms:
1 Pm 0.3892 0.1392 0.2500
2 Pm 0.6108 0.8608 0.7500
3 Mg 0.0000 0.0000 0.5000
4 Mg 0.0000 0.5000 0.0000
5 B 0.0043 0.8720 0.1323
6 B 0.0293 0.2050 0.3280
7 B 0.0293 0.7013 0.8243
8 B 0.0859 0.6690 0.4168
9 B 0.1962 0.5298 0.6663
10 B 0.2201 0.5004 0.4000
11 B 0.2201 0.8201 0.7197
12 B 0.2397 0.8720 0.3677
13 B 0.2478 0.3310 0.9168
14 B 0.3635 0.5298 0.8337
15 B 0.3770 0.2050 0.6757
16 B 0.3770 0.7013 0.1720
17 B 0.3996 0.1799 0.9000
18 B 0.3996 0.4996 0.2197
19 B 0.6004 0.5004 0.7803
20 B 0.6004 0.8201 0.1000
21 B 0.6230 0.2987 0.8280
22 B 0.6230 0.7950 0.3243
23 B 0.6365 0.4702 0.1663
24 B 0.7522 0.6690 0.0832
25 B 0.7603 0.1280 0.6323
26 B 0.7799 0.1799 0.2803
27 B 0.7799 0.4996 0.6000
28 B 0.8038 0.4702 0.3337
29 B 0.9141 0.3310 0.5832
30 B 0.9707 0.2987 0.1757
31 B 0.9707 0.7950 0.6720
32 B 0.9957 0.1280 0.8677

***

The following is a computed powder X-ray diffraction pattern of CsC3O6. It was derived from a structure optimized by DFT (GGA-PBE), using Cu Kα (λ = 1.5418 Å).

Main lines, in order of rising 2θ (2θ from 10° to 90°):
- 13.2°, I 100
- 21.3°, I 34
- 25.2°, I 44
- 26.6°, I 56
- 28.5°, I 63
- 34.4°, I 38

Structure:
Cell: 7.8686 7.8686 7.8686 Å, 116.50 116.50 116.50°
Fractional coordinates of all 10 atoms:
1 Cs 0.0000 0.0000 0.0000
2 C 0.2386 0.6947 0.6947
3 C 0.6947 0.2386 0.6947
4 C 0.6947 0.6947 0.2386
5 O 0.2789 0.5844 0.5844
6 O 0.2873 0.8755 0.8755
7 O 0.5844 0.2789 0.5844
8 O 0.5844 0.5844 0.2789
9 O 0.8755 0.2873 0.8755
10 O 0.8755 0.8755 0.2873

***

Please write out number 3 again, unchanged.
The following is a computed powder X-ray diffraction pattern of CaTmMg2Au4. It was derived from a structure optimized by DFT (GGA-PBE), using Cu Kα (λ = 1.5418 Å).

Main lines, in order of rising 2θ (2θ from 10° to 90°):
- 25.7°, I 31
- 36.7°, I 100
- 52.8°, I 17
- 59.6°, I 12
- 66.0°, I 35
- 89.3°, I 16

Structure:
Cell: 8.4978 8.4978 8.4978 Å, 33.53 33.53 33.53°
Fractional coordinates of all 8 atoms:
1 Ca 0.0000 0.0000 0.0000
2 Tm 0.5000 0.5000 0.5000
3 Mg 0.2506 0.2506 0.2506
4 Mg 0.7494 0.7494 0.7494
5 Au 0.1285 0.1285 0.1285
6 Au 0.3784 0.3784 0.3784
7 Au 0.6216 0.6216 0.6216
8 Au 0.8715 0.8715 0.8715

***

Number 5 is which compound?
Nd5Y5Tm2